For Li4Co3O7, a crystal structure in the Materials Project, relaxed with GGA+U gives the theoretical X-ray diffraction stick pattern in this record (copper Kα).
Peak positions follow from Bragg's law for the DFT cell and can differ from measured ones.

Crystal structure
abc: 16.663 16.663 5.040
angles: 90.25 90.25 10.34
Atoms (fractional coordinates):
Li 0.000 0.000 0.000
Li 0.072 0.072 0.647
Li 0.214 0.214 0.929
Li 0.357 0.357 0.213
Li 0.500 0.500 0.500
Li 0.643 0.643 0.787
Li 0.786 0.786 0.071
Li 0.928 0.928 0.353
Co 0.142 0.142 0.280
Co 0.286 0.286 0.571
Co 0.432 0.432 0.857
Co 0.568 0.568 0.143
Co 0.714 0.714 0.429
Co 0.858 0.858 0.720
O 0.038 0.038 0.312
O 0.107 0.107 0.983
O 0.178 0.178 0.587
O 0.250 0.250 0.270
O 0.321 0.321 0.875
O 0.394 0.394 0.569
O 0.460 0.460 0.145
O 0.540 0.540 0.855
O 0.606 0.606 0.431
O 0.679 0.679 0.125
O 0.750 0.750 0.730
O 0.822 0.822 0.413
O 0.893 0.893 0.017
O 0.962 0.962 0.688

Top 12 peaks for 2θ from 10° to 90°, in order of rising 2θ:
4.828 Å, I 100.0; 2.537 Å, I 31.5; 2.419 Å, I 14.3; 2.403 Å, I 8.9; 2.116 Å, I 60.1; 2.003 Å, I 23.7; 1.901 Å, I 8.6; 1.629 Å, I 9.1; 1.501 Å, I 8.6; 1.491 Å, I 7.9; 1.465 Å, I 14.7; 1.445 Å, I 13.9